No. 1
Nd5SmY5: theoretical powder diffraction line list (Cu Kα (λ = 1.5418 Å)), based on a structure optimized by DFT (PBE).

Crystal structure
```
data_Nd5SmY5
_space_group_name_H-M_alt 'P 1'
_space_group_IT_number 1
_space_group_name_Hall 'P 1'
_cell_length_a 6.9731
_cell_length_b 7.0043
_cell_length_c 8.8130
_cell_angle_alpha 74.19
_cell_angle_beta 74.37
_cell_angle_gamma 69.49
loop_
_atom_site_label
_atom_site_fract_x
_atom_site_fract_y
_atom_site_fract_z
Nd1 0.0000 0.0000 0.0000
Nd2 0.2675 0.3538 0.7367
Nd3 0.3504 0.8539 0.6341
Nd4 0.6496 0.1461 0.3659
Nd5 0.7325 0.6462 0.2633
Sm1 0.5000 0.0000 0.0000
Y1 0.1536 0.2216 0.2748
Y2 0.1836 0.6776 0.3637
Y3 0.5000 0.5000 0.0000
Y4 0.8164 0.3224 0.6363
Y5 0.8464 0.7784 0.7252
```

The 8 most intense peaks (2θ from 5° to 70°), by angle:
Position (°2θ), I/Imax
23.07, 12
31.01, 14
31.14, 58
31.63, 31
31.78, 100
32.28, 20
45.56, 17
55.82, 12



No. 2
Cr7Cd3In2S16: theoretical powder diffraction line list (Cu Kα (λ = 1.5418 Å)), based on a structure optimized by DFT (PBE).

Crystal structure
```
data_Cr7Cd3In2S16
_space_group_name_H-M_alt 'P 1'
_space_group_IT_number 1
_space_group_name_Hall 'P 1'
_cell_length_a 7.4427
_cell_length_b 7.3230
_cell_length_c 10.3903
_cell_angle_alpha 90.00
_cell_angle_beta 91.26
_cell_angle_gamma 90.00
loop_
_atom_site_label
_atom_site_fract_x
_atom_site_fract_y
_atom_site_fract_z
Cr1 0.0000 0.0000 0.0000
Cr2 0.0023 0.2482 0.6272
Cr3 0.0023 0.7518 0.6272
Cr4 0.2510 0.5000 0.8757
Cr5 0.5004 0.2466 0.1200
Cr6 0.5004 0.7534 0.1200
Cr7 0.7518 0.0000 0.3706
Cd1 0.0064 0.5000 0.2444
Cd2 0.4987 0.5000 0.5004
Cd3 0.5070 0.0000 0.7462
In1 0.2471 0.0000 0.3700
In2 0.7554 0.5000 0.8781
S1 0.0188 0.2603 0.8647
S2 0.0188 0.7397 0.8647
S3 0.2136 0.0000 0.6204
S4 0.2186 0.5000 0.6419
S5 0.2776 0.0000 0.1151
S6 0.2850 0.5000 0.1082
S7 0.4860 0.2740 0.8902
S8 0.4860 0.7260 0.8902
S9 0.5156 0.2254 0.3518
S10 0.5156 0.7746 0.3518
S11 0.7104 0.5000 0.1233
S12 0.7302 0.0000 0.1285
S13 0.7838 0.0000 0.6072
S14 0.7914 0.5000 0.6305
S15 0.9838 0.2293 0.3937
S16 0.9838 0.7707 0.3937
```

The 8 most intense peaks (2θ from 5° to 70°), by angle:
Position (°2θ), I/Imax
24.34, 80
28.08, 44
28.41, 100
28.53, 65
45.17, 34
45.40, 49
49.11, 49
49.92, 52



No. 3
Tb7PmHo2: theoretical powder diffraction line list (Cu Kα (λ = 1.5418 Å)), based on a structure optimized by DFT (PBE).

Crystal structure
```
data_Tb7PmHo2
_space_group_name_H-M_alt 'P 1'
_space_group_IT_number 1
_space_group_name_Hall 'P 1'
_cell_length_a 6.1641
_cell_length_b 7.1207
_cell_length_c 7.9652
_cell_angle_alpha 77.07
_cell_angle_beta 75.01
_cell_angle_gamma 73.32
loop_
_atom_site_label
_atom_site_fract_x
_atom_site_fract_y
_atom_site_fract_z
Tb1 0.0000 0.0000 0.0000
Tb2 0.1997 0.8005 0.5994
Tb3 0.4000 0.5999 0.2009
Tb4 0.4011 0.0992 0.2014
Tb5 0.5989 0.9008 0.7986
Tb6 0.6000 0.4001 0.7991
Tb7 0.8003 0.1995 0.4006
Pm1 0.0000 0.5000 0.0000
Ho1 0.1998 0.2999 0.5994
Ho2 0.8002 0.7001 0.4006
```

The 6 most intense peaks (2θ from 5° to 70°), by angle:
Position (°2θ), I/Imax
30.75, 100
35.66, 51
51.32, 36
61.00, 29
61.09, 14
64.05, 12



No. 4
RbP2H5O8: theoretical powder diffraction line list (Cu Kα (λ = 1.5418 Å)), based on a structure optimized by DFT (PBE).

Crystal structure
```
data_RbP2H5O8
_space_group_name_H-M_alt 'P 1'
_space_group_IT_number 1
_space_group_name_Hall 'P 1'
_cell_length_a 6.6075
_cell_length_b 6.6075
_cell_length_c 9.6765
_cell_angle_alpha 97.98
_cell_angle_beta 97.98
_cell_angle_gamma 73.78
loop_
_atom_site_label
_atom_site_fract_x
_atom_site_fract_y
_atom_site_fract_z
Rb1 0.0000 0.0000 0.0000
Rb2 0.0000 0.0000 0.5000
P1 0.2595 0.3761 0.8064
P2 0.3761 0.2595 0.3064
P3 0.6239 0.7405 0.6936
P4 0.7405 0.6239 0.1936
H1 0.0865 0.5443 0.1804
H2 0.3047 0.3692 0.5251
H3 0.3057 0.6943 0.7500
H4 0.3692 0.3047 0.0251
H5 0.4557 0.9135 0.3196
H6 0.5443 0.0865 0.6804
H7 0.6308 0.6953 0.9749
H8 0.6943 0.3057 0.2500
H9 0.6953 0.6308 0.4749
H10 0.9135 0.4557 0.8196
O1 0.0434 0.3232 0.8185
O2 0.2168 0.6192 0.8223
O3 0.2687 0.4210 0.4278
O4 0.2711 0.3518 0.1697
O5 0.3232 0.0434 0.3185
O6 0.3518 0.2711 0.6697
O7 0.3808 0.7832 0.6777
O8 0.4210 0.2687 0.9278
O9 0.5790 0.7313 0.0722
O10 0.6192 0.2168 0.3223
O11 0.6482 0.7289 0.3303
O12 0.6768 0.9566 0.6815
O13 0.7289 0.6482 0.8303
O14 0.7313 0.5790 0.5722
O15 0.7832 0.3808 0.1777
O16 0.9566 0.6768 0.1815
```

The 8 most intense peaks (2θ from 5° to 70°), by angle:
Position (°2θ), I/Imax
22.42, 56
23.01, 64
24.57, 88
28.07, 100
32.34, 31
35.75, 20
43.01, 24
45.89, 17



No. 5
ScRe7: theoretical powder diffraction line list (Cu Kα (λ = 1.5418 Å)), based on a structure optimized by DFT (PBE).

Crystal structure
```
data_ScRe7
_space_group_name_H-M_alt 'P 1'
_space_group_IT_number 1
_space_group_name_Hall 'P 1'
_cell_length_a 5.5920
_cell_length_b 5.5920
_cell_length_c 5.5920
_cell_angle_alpha 60.00
_cell_angle_beta 60.00
_cell_angle_gamma 60.00
loop_
_atom_site_label
_atom_site_fract_x
_atom_site_fract_y
_atom_site_fract_z
Sc1 0.0000 0.0000 0.0000
Re1 0.0000 0.0000 0.5000
Re2 0.0000 0.5000 0.0000
Re3 0.0000 0.5000 0.5000
Re4 0.5000 0.0000 0.0000
Re5 0.5000 0.0000 0.5000
Re6 0.5000 0.5000 0.0000
Re7 0.5000 0.5000 0.5000
```

The 8 most intense peaks (2θ from 5° to 70°), by angle:
Position (°2θ), I/Imax
19.44, 6
22.49, 3
32.01, 3
37.73, 4
39.47, 100
45.90, 49
50.29, 2
66.93, 32



No. 6
Mn21V2C6: theoretical powder diffraction line list (Cu Kα (λ = 1.5418 Å)), based on a structure optimized by DFT (PBE).

Crystal structure
```
data_Mn21V2C6
_space_group_name_H-M_alt 'P 1'
_space_group_IT_number 1
_space_group_name_Hall 'P 1'
_cell_length_a 7.3646
_cell_length_b 7.3646
_cell_length_c 7.3646
_cell_angle_alpha 60.00
_cell_angle_beta 60.00
_cell_angle_gamma 60.00
loop_
_atom_site_label
_atom_site_fract_x
_atom_site_fract_y
_atom_site_fract_z
Mn1 0.0000 0.0000 0.0000
Mn2 0.0000 0.0000 0.3371
Mn3 0.0000 0.0000 0.6629
Mn4 0.0000 0.3371 0.0000
Mn5 0.0000 0.3371 0.6629
Mn6 0.0000 0.6629 0.0000
Mn7 0.0000 0.6629 0.3371
Mn8 0.1465 0.6178 0.6178
Mn9 0.3371 0.0000 0.0000
Mn10 0.3371 0.0000 0.6629
Mn11 0.3371 0.6629 0.0000
Mn12 0.3822 0.3822 0.3822
Mn13 0.3822 0.3822 0.8535
Mn14 0.3822 0.8535 0.3822
Mn15 0.6178 0.1465 0.6178
Mn16 0.6178 0.6178 0.1465
Mn17 0.6178 0.6178 0.6178
Mn18 0.6629 0.0000 0.0000
Mn19 0.6629 0.0000 0.3371
Mn20 0.6629 0.3371 0.0000
Mn21 0.8535 0.3822 0.3822
V1 0.2500 0.2500 0.2500
V2 0.7500 0.7500 0.7500
C1 0.2747 0.2747 0.7253
C2 0.2747 0.7253 0.2747
C3 0.2747 0.7253 0.7253
C4 0.7253 0.2747 0.2747
C5 0.7253 0.2747 0.7253
C6 0.7253 0.7253 0.2747
```

The 8 most intense peaks (2θ from 5° to 70°), by angle:
Position (°2θ), I/Imax
34.44, 6
38.66, 21
42.52, 26
45.24, 100
49.51, 21
51.94, 26
52.73, 14
58.81, 7



No. 7
Mg3Si9B36C: theoretical powder diffraction line list (Cu Kα (λ = 1.5418 Å)), based on a structure optimized by DFT (PBE).

Crystal structure
```
data_Mg3Si9B36C
_space_group_name_H-M_alt 'P 1'
_space_group_IT_number 1
_space_group_name_Hall 'P 1'
_cell_length_a 8.0031
_cell_length_b 8.0031
_cell_length_c 8.0031
_cell_angle_alpha 78.32
_cell_angle_beta 78.32
_cell_angle_gamma 78.32
loop_
_atom_site_label
_atom_site_fract_x
_atom_site_fract_y
_atom_site_fract_z
Mg1 0.1680 0.1680 0.6641
Mg2 0.1680 0.6641 0.1680
Mg3 0.6641 0.1680 0.1680
Si1 0.0082 0.4006 0.4006
Si2 0.0884 0.0884 0.0884
Si3 0.2320 0.2320 0.2320
Si4 0.3206 0.9238 0.9238
Si5 0.4006 0.0082 0.4006
Si6 0.4006 0.4006 0.0082
Si7 0.7075 0.7075 0.7075
Si8 0.9238 0.3206 0.9238
Si9 0.9238 0.9238 0.3206
B1 0.0390 0.6824 0.8631
B2 0.0390 0.8631 0.6824
B3 0.0829 0.4844 0.7710
B4 0.0829 0.7710 0.4844
B5 0.1071 0.5371 0.5371
B6 0.2292 0.7843 0.7843
B7 0.2527 0.5537 0.8371
B8 0.2527 0.8371 0.5537
B9 0.2907 0.4605 0.6403
B10 0.2907 0.6403 0.4605
B11 0.3876 0.6454 0.6454
B12 0.4605 0.2907 0.6403
B13 0.4605 0.6403 0.2907
B14 0.4844 0.0829 0.7710
B15 0.4844 0.7710 0.0829
B16 0.5371 0.1071 0.5371
B17 0.5371 0.5371 0.1071
B18 0.5537 0.2527 0.8371
B19 0.5537 0.8371 0.2527
B20 0.6403 0.2907 0.4605
B21 0.6403 0.4605 0.2907
B22 0.6454 0.3876 0.6454
B23 0.6454 0.6454 0.3876
B24 0.6690 0.6690 0.9597
B25 0.6690 0.9597 0.6690
B26 0.6824 0.0390 0.8631
B27 0.6824 0.8631 0.0390
B28 0.7710 0.0829 0.4844
B29 0.7710 0.4844 0.0829
B30 0.7843 0.2292 0.7843
B31 0.7843 0.7843 0.2292
B32 0.8371 0.2527 0.5537
B33 0.8371 0.5537 0.2527
B34 0.8631 0.0390 0.6824
B35 0.8631 0.6824 0.0390
B36 0.9597 0.6690 0.6690
C1 0.5959 0.5959 0.5959
```

The 8 most intense peaks (2θ from 5° to 70°), by angle:
Position (°2θ), I/Imax
23.93, 53
29.08, 100
29.83, 53
34.84, 61
35.53, 52
39.27, 82
43.76, 50
45.51, 45



No. 8
Sm2Ho2Bi5: theoretical powder diffraction line list (Cu Kα (λ = 1.5418 Å)), based on a structure optimized by DFT (PBE).

Crystal structure
```
data_Sm2Ho2Bi5
_space_group_name_H-M_alt 'P 1'
_space_group_IT_number 1
_space_group_name_Hall 'P 1'
_cell_length_a 9.0620
_cell_length_b 9.0620
_cell_length_c 8.4915
_cell_angle_alpha 90.00
_cell_angle_beta 90.00
_cell_angle_gamma 54.30
loop_
_atom_site_label
_atom_site_fract_x
_atom_site_fract_y
_atom_site_fract_z
Sm1 0.1928 0.1928 0.0000
Sm2 0.3072 0.3072 0.5000
Sm3 0.6928 0.6928 0.5000
Sm4 0.8072 0.8072 0.0000
Ho1 0.1539 0.8461 0.6584
Ho2 0.3461 0.6539 0.1584
Ho3 0.6539 0.3461 0.8416
Ho4 0.8461 0.1539 0.3416
Bi1 0.0000 0.0000 0.0000
Bi2 0.0128 0.7106 0.3493
Bi3 0.2106 0.5128 0.8493
Bi4 0.2894 0.9872 0.3493
Bi5 0.4872 0.7894 0.8493
Bi6 0.5000 0.5000 0.5000
Bi7 0.5128 0.2106 0.1507
Bi8 0.7106 0.0128 0.6507
Bi9 0.7894 0.4872 0.1507
Bi10 0.9872 0.2894 0.6507
```

The 8 most intense peaks (2θ from 5° to 70°), by angle:
Position (°2θ), I/Imax
28.89, 100
30.17, 29
31.58, 32
32.77, 84
33.34, 33
33.93, 66
34.66, 61
62.75, 43



No. 9
CePt4: theoretical powder diffraction line list (Cu Kα (λ = 1.5418 Å)), based on a structure optimized by DFT (PBE).

Crystal structure
```
data_CePt4
_space_group_name_H-M_alt 'P 1'
_space_group_IT_number 1
_space_group_name_Hall 'P 1'
_cell_length_a 7.9472
_cell_length_b 7.9472
_cell_length_c 7.9472
_cell_angle_alpha 148.32
_cell_angle_beta 136.90
_cell_angle_gamma 54.47
loop_
_atom_site_label
_atom_site_fract_x
_atom_site_fract_y
_atom_site_fract_z
Ce1 0.3600 0.1100 0.2500
Ce2 0.6400 0.8900 0.7500
Pt1 0.0000 0.5000 0.5000
Pt2 0.1457 0.8957 0.2500
Pt3 0.1783 0.6942 0.4841
Pt4 0.2899 0.3058 0.9841
Pt5 0.5000 0.5000 0.0000
Pt6 0.7101 0.6942 0.0159
Pt7 0.8217 0.3058 0.5159
Pt8 0.8543 0.1043 0.7500
```

The 8 most intense peaks (2θ from 5° to 70°), by angle:
Position (°2θ), I/Imax
37.68, 87
38.00, 100
40.07, 33
41.64, 40
41.94, 15
49.74, 21
59.16, 21
66.82, 18



No. 10
Li12Tl: theoretical powder diffraction line list (Cu Kα (λ = 1.5418 Å)), based on a structure optimized by DFT (PBE).

Crystal structure
```
data_Li12Tl
_space_group_name_H-M_alt 'P 1'
_space_group_IT_number 1
_space_group_name_Hall 'P 1'
_cell_length_a 7.9401
_cell_length_b 7.9401
_cell_length_c 7.9401
_cell_angle_alpha 60.00
_cell_angle_beta 60.00
_cell_angle_gamma 60.00
loop_
_atom_site_label
_atom_site_fract_x
_atom_site_fract_y
_atom_site_fract_z
Li1 0.0000 0.0000 0.3425
Li2 0.0000 0.0000 0.6575
Li3 0.0000 0.3425 0.0000
Li4 0.0000 0.3425 0.6575
Li5 0.0000 0.6575 0.0000
Li6 0.0000 0.6575 0.3425
Li7 0.3425 0.0000 0.0000
Li8 0.3425 0.0000 0.6575
Li9 0.3425 0.6575 0.0000
Li10 0.6575 0.0000 0.0000
Li11 0.6575 0.0000 0.3425
Li12 0.6575 0.3425 0.0000
Tl1 0.5000 0.5000 0.5000
```

The 8 most intense peaks (2θ from 5° to 70°), by angle:
Position (°2θ), I/Imax
13.66, 100
15.78, 64
22.39, 49
26.32, 91
34.83, 38
35.76, 31
39.31, 32
47.93, 37



No. 11
U4OsRu2: theoretical powder diffraction line list (Cu Kα (λ = 1.5418 Å)), based on a structure optimized by DFT (PBE).

Crystal structure
```
data_U4OsRu2
_space_group_name_H-M_alt 'P 1'
_space_group_IT_number 1
_space_group_name_Hall 'P 1'
_cell_length_a 8.0757
_cell_length_b 8.0757
_cell_length_c 6.2734
_cell_angle_alpha 92.87
_cell_angle_beta 92.87
_cell_angle_gamma 39.50
loop_
_atom_site_label
_atom_site_fract_x
_atom_site_fract_y
_atom_site_fract_z
U1 0.0593 0.7917 0.6279
U2 0.1772 0.5400 0.9796
U3 0.2083 0.9407 0.8721
U4 0.4600 0.8228 0.5204
U5 0.5400 0.1772 0.4796
U6 0.7917 0.0593 0.1279
U7 0.8228 0.4600 0.0204
U8 0.9407 0.2083 0.3721
Os1 0.3708 0.6292 0.2500
Os2 0.6292 0.3708 0.7500
Ru1 0.0816 0.3805 0.6920
Ru2 0.3805 0.0816 0.1920
Ru3 0.6195 0.9184 0.8080
Ru4 0.9184 0.6195 0.3080
```

The 8 most intense peaks (2θ from 5° to 70°), by angle:
Position (°2θ), I/Imax
36.20, 68
37.42, 77
37.61, 100
38.32, 36
44.98, 22
47.29, 41
58.40, 20
62.27, 23



Please write out number 2 again, unchanged.
Cr7Cd3In2S16: theoretical powder diffraction line list (Cu Kα (λ = 1.5418 Å)), based on a structure optimized by DFT (PBE).

Crystal structure
```
data_Cr7Cd3In2S16
_space_group_name_H-M_alt 'P 1'
_space_group_IT_number 1
_space_group_name_Hall 'P 1'
_cell_length_a 7.4427
_cell_length_b 7.3230
_cell_length_c 10.3903
_cell_angle_alpha 90.00
_cell_angle_beta 91.26
_cell_angle_gamma 90.00
loop_
_atom_site_label
_atom_site_fract_x
_atom_site_fract_y
_atom_site_fract_z
Cr1 0.0000 0.0000 0.0000
Cr2 0.0023 0.2482 0.6272
Cr3 0.0023 0.7518 0.6272
Cr4 0.2510 0.5000 0.8757
Cr5 0.5004 0.2466 0.1200
Cr6 0.5004 0.7534 0.1200
Cr7 0.7518 0.0000 0.3706
Cd1 0.0064 0.5000 0.2444
Cd2 0.4987 0.5000 0.5004
Cd3 0.5070 0.0000 0.7462
In1 0.2471 0.0000 0.3700
In2 0.7554 0.5000 0.8781
S1 0.0188 0.2603 0.8647
S2 0.0188 0.7397 0.8647
S3 0.2136 0.0000 0.6204
S4 0.2186 0.5000 0.6419
S5 0.2776 0.0000 0.1151
S6 0.2850 0.5000 0.1082
S7 0.4860 0.2740 0.8902
S8 0.4860 0.7260 0.8902
S9 0.5156 0.2254 0.3518
S10 0.5156 0.7746 0.3518
S11 0.7104 0.5000 0.1233
S12 0.7302 0.0000 0.1285
S13 0.7838 0.0000 0.6072
S14 0.7914 0.5000 0.6305
S15 0.9838 0.2293 0.3937
S16 0.9838 0.7707 0.3937
```

The 8 most intense peaks (2θ from 5° to 70°), by angle:
Position (°2θ), I/Imax
24.34, 80
28.08, 44
28.41, 100
28.53, 65
45.17, 34
45.40, 49
49.11, 49
49.92, 52